This entry pairs a crystal structure of LaCoSbPbO6 with its theoretical powder X-ray diffraction pattern. Radiation: λ = 1.5418 Å (Cu Kα). Structure: a DFT-relaxed cell (PBE+U, the Materials Project).
Lines closer than 0.1° are merged.

Atomic structure:
```
data_LaCoSbPbO6
_cell_length_a 5.7214
_cell_length_b 5.7784
_cell_length_c 9.9110
_cell_angle_alpha 90.00
_cell_angle_beta 125.24
_cell_angle_gamma 90.00
_symmetry_space_group_name_H-M 'P 1 c 1'
_symmetry_Int_Tables_number 7
loop_
_symmetry_equiv_pos_as_xyz
'x,y,z'
'x,-y,z+1/2'
loop_
_atom_site_label
_atom_site_type_symbol
_atom_site_fract_x
_atom_site_fract_y
_atom_site_fract_z
La1 La 0.0000 0.2051 0.0000
Co1 Co 0.2603 0.2602 0.7506
Sb1 Sb 0.7581 0.2561 0.2476
Pb1 Pb 0.5156 0.2656 0.5015
O1 O 0.0008 0.4476 0.2025
O2 O 0.0675 0.2236 0.4916
O3 O 0.4274 0.2590 0.0057
O4 O 0.5195 0.0389 0.2828
O5 O 0.6113 0.4577 0.7908
O6 O 0.9323 0.0211 0.7089
```

The 12 most intense peaks (2θ from 5° to 70°), low angle first:
(1 0 0), 2θ 19.0, intensity 5
(0 0 2), 2θ 21.9, intensity 9
(0 2 0), 2θ 31.0, intensity 19
(1 1 1), 2θ 31.2, intensity 100
(2 1 -3), 2θ 36.8, intensity 5
(2 0 -4), 2θ 38.5, intensity 5
(2 2 -2), 2θ 44.6, intensity 20
(0 0 4), 2θ 44.8, intensity 11
(1 3 -3), 2θ 55.2, intensity 14
(0 2 4), 2θ 55.4, intensity 8
(3 1 -5), 2θ 55.6, intensity 27
(2 2 -6), 2θ 65.0, intensity 12

This entry pairs a crystal structure of La4Co3ReO12 with its theoretical powder X-ray diffraction pattern. Radiation: λ = 1.5418 Å (Cu Kα). Structure: a DFT-relaxed cell (PBE+U, the Materials Project).
Lines closer than 0.1° are merged.

Atomic structure:
```
data_La4Co3ReO12
_cell_length_a 5.5527
_cell_length_b 5.5527
_cell_length_c 8.0431
_cell_angle_alpha 90.00
_cell_angle_beta 90.00
_cell_angle_gamma 90.00
_symmetry_space_group_name_H-M 'P 4/m m m'
_symmetry_Int_Tables_number 123
_symmetry_space_group_name_Hall '-P 4 2'
loop_
_atom_site_label
_atom_site_type_symbol
_atom_site_fract_x
_atom_site_fract_y
_atom_site_fract_z
La1 La 0.0000 0.5000 0.2275
Co1 Co 0.0000 0.0000 0.0000
Co2 Co 0.0000 0.0000 0.5000
Co3 Co 0.5000 0.5000 0.0000
Re1 Re 0.5000 0.5000 0.5000
O1 O 0.0000 0.0000 0.2460
O2 O 0.2525 0.2525 0.0000
O3 O 0.2565 0.2565 0.5000
O4 O 0.5000 0.5000 0.2577
```

The 12 most intense peaks (2θ from 5° to 70°), low angle first:
(1 0 1), 2θ 19.4, intensity 8
(1 1 1), 2θ 25.2, intensity 10
(1 1 2), 2θ 31.9, intensity 100
(2 0 0), 2θ 32.2, intensity 51
(2 0 2), 2θ 39.4, intensity 10
(0 0 4), 2θ 45.1, intensity 14
(2 2 0), 2θ 46.2, intensity 31
(2 0 3), 2θ 47.1, intensity 6
(2 0 4), 2θ 56.5, intensity 17
(3 1 2), 2θ 57.2, intensity 38
(2 2 4), 2θ 66.6, intensity 16
(4 0 0), 2θ 67.5, intensity 9

This entry pairs a crystal structure of La5CoRe3O16 with its theoretical powder X-ray diffraction pattern. Radiation: λ = 1.5418 Å (Cu Kα). Structure: a DFT-relaxed cell (PBE+U, the Materials Project).
Lines closer than 0.1° are merged.

Atomic structure:
```
data_La5CoRe3O16
_cell_length_a 5.6768
_cell_length_b 5.6903
_cell_length_c 20.5073
_cell_angle_alpha 93.54
_cell_angle_beta 93.42
_cell_angle_gamma 90.47
_symmetry_space_group_name_H-M 'P -1'
_symmetry_Int_Tables_number 2
loop_
_symmetry_equiv_pos_as_xyz
'x,y,z'
'-x,-y,-z'
loop_
_atom_site_label
_atom_site_type_symbol
_atom_site_fract_x
_atom_site_fract_y
_atom_site_fract_z
La1 La 0.0001 0.0000 0.2502
La2 La 0.0342 0.5069 0.1026
La3 La 0.0347 0.5069 0.6022
La4 La 0.4866 0.9716 0.4017
La5 La 0.4871 0.9733 0.9011
Co1 Co 0.5000 0.5000 0.0000
Co2 Co 0.5000 0.5000 0.5000
Re1 Re 0.0000 0.0000 0.0000
Re2 Re 0.0000 0.0000 0.5000
Re3 Re 0.4434 0.4440 0.8029
Re4 Re 0.4439 0.4439 0.3028
O1 O 0.0701 0.0798 0.0923
O2 O 0.0695 0.0800 0.5924
O3 O 0.1789 0.2861 0.4818
O4 O 0.1792 0.2858 0.9815
O5 O 0.2217 0.6937 0.3168
O6 O 0.2222 0.6946 0.8171
O7 O 0.2243 0.2187 0.3379
O8 O 0.2235 0.2185 0.8378
O9 O 0.2973 0.7690 0.1816
O10 O 0.2972 0.7696 0.6818
O11 O 0.3039 0.8108 0.0009
O12 O 0.3046 0.8101 0.5003
O13 O 0.3113 0.3041 0.7175
O14 O 0.3115 0.3039 0.2172
O15 O 0.4542 0.4510 0.5996
O16 O 0.4554 0.4520 0.0992
```

The 12 most intense peaks (2θ from 5° to 70°), low angle first:
(0 1 2), 2θ 18.3, intensity 38
(0 1 -4), 2θ 22.7, intensity 25
(1 -1 4), 2θ 28.2, intensity 100
(1 1 4), 2θ 29.6, intensity 78
(0 2 0), 2θ 31.5, intensity 57
(2 0 0), 2θ 31.6, intensity 57
(1 1 -6), 2θ 33.1, intensity 38
(-1 1 6), 2θ 34.5, intensity 27
(0 0 10), 2θ 44.3, intensity 25
(2 -2 0), 2θ 44.9, intensity 43
(3 -1 4), 2θ 54.7, intensity 28
(1 3 4), 2θ 55.8, intensity 32

This entry pairs a crystal structure of La2CoRuO6 with its theoretical powder X-ray diffraction pattern. Radiation: λ = 1.5418 Å (Cu Kα). Structure: a DFT-relaxed cell (PBE+U, the Materials Project).
Lines closer than 0.1° are merged.

Atomic structure:
```
data_La2CoRuO6
_cell_length_a 5.5907
_cell_length_b 5.7705
_cell_length_c 7.9018
_cell_angle_alpha 90.13
_cell_angle_beta 90.53
_cell_angle_gamma 90.28
_symmetry_space_group_name_H-M 'P -1'
_symmetry_Int_Tables_number 2
loop_
_symmetry_equiv_pos_as_xyz
'x,y,z'
'-x,-y,-z'
loop_
_atom_site_label
_atom_site_type_symbol
_atom_site_fract_x
_atom_site_fract_y
_atom_site_fract_z
La1 La 0.0138 0.0596 0.2483
La2 La 0.4860 0.5615 0.2505
Co1 Co 0.0000 0.5000 0.5000
Co2 Co 0.5000 0.0000 0.0000
Ru1 Ru 0.0000 0.5000 0.0000
Ru2 Ru 0.5000 0.0000 0.5000
O1 O 0.0924 0.5206 0.7544
O2 O 0.1965 0.7922 0.0505
O3 O 0.2056 0.8034 0.4548
O4 O 0.2939 0.3026 0.0443
O5 O 0.3039 0.2908 0.4470
O6 O 0.4075 0.0207 0.7468
```

The 12 most intense peaks (2θ from 5° to 70°), low angle first:
(0 2 0), 2θ 31.0, intensity 41
(-1 1 2), 2θ 31.7, intensity 100
(1 -1 2), 2θ 31.8, intensity 49
(2 0 0), 2θ 32.0, intensity 100
(0 2 -1), 2θ 33.1, intensity 17
(2 -2 0), 2θ 45.0, intensity 21
(2 2 0), 2θ 45.3, intensity 21
(0 0 4), 2θ 45.9, intensity 29
(0 2 -3), 2θ 46.7, intensity 13
(1 -3 1), 2θ 51.5, intensity 12
(1 -3 2), 2θ 55.6, intensity 14
(2 0 -4), 2θ 56.8, intensity 23